# TbEr2Cu4Si2Sn2
Theoretical XRD peak list, a wavelength of 1.5418 Å. Input: a cell relaxed with PBE.
No peak broadening, texture or thermal motion is included.

Principal peaks in the range 2θ = 10–80°, in order of rising 2θ:
2theta	intensity
27.9	28
34.3	100
35.7	64
43.0	29
43.9	34
63.2	24

Cell and atoms:
Cell lengths 8.140, 8.140, 8.140 Å; angles 150.07, 130.00, 59.37 degrees
Fractional positions:
Tb (0.000, 0.000, 0.000)
Er (0.364, 0.864, 0.500)
Er (0.636, 0.136, 0.500)
Cu (0.007, 0.319, 0.689)
Cu (0.370, 0.681, 0.689)
Cu (0.630, 0.319, 0.311)
Cu (0.993, 0.681, 0.311)
Si (0.217, 0.217, 0.000)
Si (0.783, 0.783, 0.000)
Sn (0.299, 0.500, 0.799)
Sn (0.701, 0.500, 0.201)

***

# TbEr2Cu4Si2Sn2
Theoretical XRD peak list, a wavelength of 1.5418 Å. Input: a cell relaxed with PBE.
No peak broadening, texture or thermal motion is included.

Principal peaks in the range 2θ = 10–80°, in order of rising 2θ:
2theta	intensity
26.9	21
34.1	34
34.7	64
35.3	100
39.2	17
42.0	30

Cell and atoms:
Cell lengths 8.175, 8.175, 8.175 Å; angles 149.49, 132.18, 57.79 degrees
Fractional positions:
Tb (0.000, 0.000, 0.000)
Er (0.377, 0.877, 0.500)
Er (0.623, 0.123, 0.500)
Cu (0.037, 0.346, 0.691)
Cu (0.345, 0.654, 0.691)
Cu (0.655, 0.346, 0.309)
Cu (0.963, 0.654, 0.309)
Si (0.319, 0.500, 0.819)
Si (0.681, 0.500, 0.181)
Sn (0.219, 0.219, 0.000)
Sn (0.781, 0.781, 0.000)

***

# TbErCu2Sn2
Theoretical XRD peak list, a wavelength of 1.5418 Å. Input: a cell relaxed with PBE.
No peak broadening, texture or thermal motion is included.

Principal peaks in the range 2θ = 10–80°, in order of rising 2θ:
2theta	intensity
25.8	13
33.7	100
39.8	67
53.1	28
66.2	16
68.4	26

Cell and atoms:
Cell lengths 4.534, 4.534, 7.213 Å; angles 90.00, 90.00, 120.00 degrees
Fractional positions:
Tb (0.000, 0.000, 0.000)
Er (0.000, 0.000, 0.500)
Cu (0.333, 0.667, 0.322)
Cu (0.667, 0.333, 0.814)
Sn (0.333, 0.667, 0.728)
Sn (0.667, 0.333, 0.232)

***

# TbErCu2Sn
Theoretical XRD peak list, a wavelength of 1.5418 Å. Input: a cell relaxed with PBE.
No peak broadening, texture or thermal motion is included.

Principal peaks in the range 2θ = 10–80°, in order of rising 2θ:
2theta	intensity
28.8	35
33.3	100
36.1	66
39.1	43
42.9	29
57.3	35

Cell and atoms:
Cell lengths 3.606, 7.193, 7.193 Å; angles 34.09, 90.00, 90.00 degrees
Fractional positions:
Tb (0.000, 0.000, 0.000)
Er (0.000, 0.262, 0.262)
Cu (0.500, 0.428, 0.428)
Cu (0.500, 0.831, 0.831)
Sn (0.500, 0.631, 0.631)

***

# YEr2Cu4Sn4
Theoretical XRD peak list, a wavelength of 1.5418 Å. Input: a cell relaxed with PBE.
No peak broadening, texture or thermal motion is included.

Principal peaks in the range 2θ = 10–80°, in order of rising 2θ:
2theta	intensity
33.2	100
34.2	79
36.8	19
40.5	37
43.2	19
45.3	23

Cell and atoms:
Cell lengths 8.407, 8.407, 8.407 Å; angles 149.30, 131.14, 58.82 degrees
Fractional positions:
Y (0.000, 0.000, 0.000)
Er (0.370, 0.870, 0.500)
Er (0.630, 0.130, 0.500)
Cu (0.017, 0.328, 0.689)
Cu (0.361, 0.672, 0.689)
Cu (0.639, 0.328, 0.311)
Cu (0.983, 0.672, 0.311)
Sn (0.217, 0.217, 0.000)
Sn (0.297, 0.500, 0.797)
Sn (0.703, 0.500, 0.203)
Sn (0.783, 0.783, 0.000)

***

# YErCu2Sn2
Theoretical XRD peak list, a wavelength of 1.5418 Å. Input: a cell relaxed with PBE.
No peak broadening, texture or thermal motion is included.

Principal peaks in the range 2θ = 10–80°, in order of rising 2θ:
2theta	intensity
25.9	23
33.8	100
39.8	74
44.2	19
53.2	27
68.5	26

Cell and atoms:
Cell lengths 4.527, 4.527, 7.204 Å; angles 90.00, 90.00, 120.00 degrees
Fractional positions:
Y (0.000, 0.000, 0.000)
Er (0.000, 0.000, 0.500)
Cu (0.333, 0.667, 0.323)
Cu (0.667, 0.333, 0.815)
Sn (0.333, 0.667, 0.728)
Sn (0.667, 0.333, 0.232)

***

# TbErTlCu2
Theoretical XRD peak list, a wavelength of 1.5418 Å. Input: a cell relaxed with PBE.
No peak broadening, texture or thermal motion is included.

Principal peaks in the range 2θ = 10–80°, in order of rising 2θ:
2theta	intensity
28.3	47
33.2	100
35.8	64
38.4	48
42.4	27
56.6	34

Cell and atoms:
Cell lengths 3.598, 7.331, 7.331 Å; angles 33.81, 90.00, 90.00 degrees
Fractional positions:
Tb (0.000, 0.000, 0.000)
Er (0.000, 0.730, 0.730)
Tl (0.500, 0.365, 0.365)
Cu (0.500, 0.164, 0.164)
Cu (0.500, 0.569, 0.569)

***

# ErCu2Te4
Theoretical XRD peak list, a wavelength of 1.5418 Å. Input: a cell relaxed with PBE.
No peak broadening, texture or thermal motion is included.

Principal peaks in the range 2θ = 10–80°, in order of rising 2θ:
2theta	intensity
26.6	97
26.7	100
32.5	52
32.6	45
37.1	45
40.8	35

Cell and atoms:
Cell lengths 8.380, 8.380, 7.726 Å; angles 117.06, 117.06, 98.94 degrees
Fractional positions:
Er (0.125, 0.875, 0.750)
Er (0.875, 0.125, 0.250)
Cu (0.000, 0.500, 0.000)
Cu (0.500, 0.000, 0.500)
Cu (0.500, 0.500, 0.000)
Cu (0.500, 0.500, 0.500)
Te (0.135, 0.274, 0.793)
Te (0.161, 0.523, 0.386)
Te (0.274, 0.135, 0.293)
Te (0.477, 0.839, 0.114)
Te (0.523, 0.161, 0.886)
Te (0.726, 0.865, 0.707)
Te (0.839, 0.477, 0.614)
Te (0.865, 0.726, 0.207)

***

# Er5Cu2Te
Theoretical XRD peak list, a wavelength of 1.5418 Å. Input: a cell relaxed with PBE.
No peak broadening, texture or thermal motion is included.

Principal peaks in the range 2θ = 10–80°, in order of rising 2θ:
2theta	intensity
26.3	30
32.6	32
33.2	100
36.1	71
36.5	30
57.6	21

Cell and atoms:
Cell lengths 8.413, 8.413, 8.413 Å; angles 124.18, 124.18, 82.91 degrees
Fractional positions:
Er (0.000, 0.000, 0.000)
Er (0.013, 0.513, 0.805)
Er (0.208, 0.013, 0.500)
Er (0.292, 0.792, 0.805)
Er (0.487, 0.292, 0.500)
Er (0.500, 0.500, 0.000)
Er (0.513, 0.708, 0.500)
Er (0.708, 0.208, 0.195)
Er (0.792, 0.987, 0.500)
Er (0.987, 0.487, 0.195)
Cu (0.134, 0.366, 0.500)
Cu (0.366, 0.866, 0.232)
Cu (0.634, 0.134, 0.768)
Cu (0.866, 0.634, 0.500)
Te (0.250, 0.250, 0.000)
Te (0.750, 0.750, 0.000)

***

# ErTm6Cu2Te2
Theoretical XRD peak list, a wavelength of 1.5418 Å. Input: a cell relaxed with PBE.
No peak broadening, texture or thermal motion is included.

Principal peaks in the range 2θ = 10–80°, in order of rising 2θ:
2theta	intensity
28.8	39
30.2	53
33.4	72
34.1	100
34.5	52
58.3	34

Cell and atoms:
Cell lengths 9.205, 9.205, 9.205 Å; angles 155.44, 67.76, 117.97 degrees
Fractional positions:
Er (0.000, 0.000, 0.000)
Tm (0.064, 0.379, 0.685)
Tm (0.091, 0.736, 0.356)
Tm (0.380, 0.736, 0.644)
Tm (0.453, 0.584, 0.869)
Tm (0.694, 0.379, 0.315)
Tm (0.715, 0.584, 0.131)
Cu (0.310, 0.073, 0.237)
Cu (0.837, 0.073, 0.763)
Te (0.338, 0.338, 0.000)
Te (0.735, 0.235, 0.500)

***

# Er5TmCuTe2
Theoretical XRD peak list, a wavelength of 1.5418 Å. Input: a cell relaxed with PBE.
No peak broadening, texture or thermal motion is included.

Principal peaks in the range 2θ = 10–80°, in order of rising 2θ:
2theta	intensity
31.4	100
32.8	70
33.8	67
37.3	30
58.2	28
60.7	29

Cell and atoms:
Cell lengths 3.897, 8.346, 8.346 Å; angles 120.08, 90.00, 90.00 degrees
Fractional positions:
Er (0.000, 0.000, 0.000)
Er (0.000, 0.514, 0.756)
Er (0.000, 0.756, 0.514)
Er (0.500, 0.160, 0.757)
Er (0.500, 0.757, 0.160)
Tm (0.500, 0.355, 0.355)
Cu (0.500, 0.756, 0.756)
Te (0.000, 0.090, 0.423)
Te (0.000, 0.423, 0.090)

***

# Er2Tm5Cu2Te2
Theoretical XRD peak list, a wavelength of 1.5418 Å. Input: a cell relaxed with PBE.
No peak broadening, texture or thermal motion is included.

Principal peaks in the range 2θ = 10–80°, in order of rising 2θ:
2theta	intensity
28.8	39
30.1	54
33.3	71
34.1	100
34.5	51
58.3	34

Cell and atoms:
Cell lengths 9.212, 9.212, 9.212 Å; angles 155.44, 67.77, 117.96 degrees
Fractional positions:
Er (0.130, 0.000, 0.130)
Er (0.870, 0.000, 0.870)
Tm (0.110, 0.795, 0.315)
Tm (0.416, 0.416, 0.000)
Tm (0.481, 0.795, 0.685)
Tm (0.508, 0.152, 0.356)
Tm (0.795, 0.152, 0.644)
Cu (0.254, 0.490, 0.764)
Cu (0.726, 0.490, 0.236)
Te (0.152, 0.652, 0.500)
Te (0.753, 0.753, 0.000)